Structure and computed XRD peak list of Sr5CdIr (a structure optimized by DFT (PBE); CuKα).
Peak positions follow from Bragg's law for the DFT cell and can differ from measured ones.

Crystal structure
```
Sr5CdIr
1.0
4.9484 -5.4253 0.0000
4.9484 5.4253 0.0000
-1.4891 0.0000 10.6701
Sr Cd Ir
10 2 2
Cartesian
3.1894 3.0621 3.9720 Sr
3.8316 4.0224 8.0025 Sr
1.3670 0.7675 10.5252 Sr
5.9629 3.0621 1.3631 Sr
2.1115 -0.7675 5.1901 Sr
6.2963 0.7675 5.4799 Sr
2.4449 -3.0621 9.3070 Sr
7.0408 -0.7675 0.1449 Sr
4.5762 -4.0224 2.6675 Sr
5.2184 -3.0621 6.6981 Sr
3.8316 0.2894 8.0025 Cd
4.5762 -0.2894 2.6675 Cd
0.0000 0.0000 0.0000 Ir
-0.7445 0.0000 5.3350 Ir
```

Main lines, in order of rising 2θ (10° ≤ 2θ ≤ 80°):
2θ (°)	I_rel
12.2	569
16.3	563
19.6	523
26.7	655
28.0	1000
28.7	494
31.2	703
31.9	701
37.6	784
40.4	552